1.
The following is a computed powder diffractogram of DyIn2Te3. It was derived from a GGA-PBE-relaxed structure, using λ = 1.5418 Å (Cu Kα).
Intensities are scaled so that the largest is 100.

The 10 most intense peaks (2θ = 10–90°), sorted by position:
3.282 Å, I = 21; 3.220 Å, I = 20; 3.008 Å, I = 100; 2.956 Å, I = 19; 2.730 Å, I = 72; 2.720 Å, I = 14; 2.594 Å, I = 27; 2.483 Å, I = 15; 2.291 Å, I = 18; 2.137 Å, I = 41

Cell and atoms:
Lattice parameters (Å, degrees): 9.210 4.272 10.648 90.00 113.08 90.00
Space group P2_1/m (No. 11)
Asymmetric unit:
Dy  0.186  0.250  0.168 [2 per cell]
In  0.188  0.250  0.551 [2 per cell]
In  0.340  0.750  0.017 [2 per cell]
Te  0.070  0.250  0.849 [2 per cell]
Te  0.326  0.750  0.390 [2 per cell]
Te  0.438  0.750  0.788 [2 per cell]

=====

2.
The following is a computed powder diffractogram of Dy3InTe4. It was derived from a GGA-PBE-relaxed structure, using λ = 1.5418 Å (Cu Kα).
Intensities are scaled so that the largest is 100.

The 10 most intense peaks (2θ = 10–90°), sorted by position:
4.334 Å, I = 76; 3.131 Å, I = 33; 3.117 Å, I = 100; 3.077 Å, I = 48; 2.981 Å, I = 47; 2.676 Å, I = 52; 2.530 Å, I = 38; 2.190 Å, I = 37; 2.154 Å, I = 37; 2.030 Å, I = 47

Cell and atoms:
Lattice parameters (Å, degrees): 6.233 9.770 9.392 90.00 90.00 90.00
Space group Pmmn (No. 59, origin choice 2)
Asymmetric unit:
Dy  0.250  0.053  0.154 [4 per cell]
Dy  0.250  0.250  0.763 [2 per cell]
In  0.250  0.750  0.579 [2 per cell]
Te  0.250  0.250  0.416 [2 per cell]
Te  0.250  0.548  0.846 [4 per cell]
Te  0.250  0.750  0.237 [2 per cell]

=====

3.
The following is a computed powder diffractogram of Dy3YIn3Te8. It was derived from a GGA-PBE-relaxed structure, using λ = 1.5418 Å (Cu Kα).
Intensities are scaled so that the largest is 100.

The 10 most intense peaks (2θ = 10–90°), sorted by position:
7.882 Å, I = 11; 3.194 Å, I = 100; 2.332 Å, I = 39; 2.191 Å, I = 36; 1.970 Å, I = 7; 1.807 Å, I = 19; 1.597 Å, I = 12; 1.465 Å, I = 16; 1.394 Å, I = 16; 1.291 Å, I = 12

Cell and atoms:
Lattice parameters (Å, degrees): 8.7652 8.7652 23.6449 90.00 90.00 120.00
Space group R-3m (No. 166, hexagonal axes)
Asymmetric unit:
Dy  0.0000  0.5000  0.0000 [9 per cell]
Y  0.0000  0.0000  0.0000 [3 per cell]
In  0.0000  0.5000  0.5000 [9 per cell]
Te  0.0000  0.0000  0.2578 [6 per cell]
Te  0.0017  0.5009  0.2583 [18 per cell]

=====

4.
The following is a computed powder diffractogram of Dy12TlIn6. It was derived from a GGA-PBE-relaxed structure, using λ = 1.5418 Å (Cu Kα).
Intensities are scaled so that the largest is 100.

The 10 most intense peaks (2θ = 10–90°), sorted by position:
4.114 Å, I = 11; 3.231 Å, I = 17; 2.965 Å, I = 37; 2.804 Å, I = 13; 2.693 Å, I = 100; 2.555 Å, I = 51; 2.405 Å, I = 31; 2.077 Å, I = 13; 1.690 Å, I = 23; 1.395 Å, I = 17

Cell and atoms:
Lattice parameters (Å, degrees): 14.2505 14.2505 9.7831 90.00 90.00 120.00
Space group R-3 (No. 148, hexagonal axes)
Asymmetric unit:
Dy  0.0528  0.2450  0.4154 [18 per cell]
Dy  0.0550  0.2051  0.7723 [18 per cell]
Tl  0.0000  0.0000  0.5000 [3 per cell]
In  0.0634  0.2440  0.0887 [18 per cell]